Computed powder diffractogram of Mn2P4O13 for Cu Kα (λ = 1.5418 Å), from DFT lattice parameters and positions (GGA+U).
Peak positions follow from Bragg's law for the DFT cell and can differ from measured ones.

Peak list (10 most intense, 15° ≤ 2θ ≤ 90°, in order of falling intensity)
- (1 1 -1), 16.3 deg, I = 100.0
- (0 0 4), 27.3 deg, I = 87.1
- (2 0 0), 15.4 deg, I = 81.9
- (1 1 -4), 28.9 deg, I = 52.5
- (4 0 0), 31.1 deg, I = 45.8
- (2 2 0), 32.8 deg, I = 42.8
- (4 0 -2), 28.2 deg, I = 40.0
- (1 1 -2), 19.0 deg, I = 27.2
- (0 2 0), 28.8 deg, I = 24.9
- (4 0 -4), 31.7 deg, I = 23.6

```
data_Mn2P4O13
_cell_length_a 12.6516
_cell_length_b 6.2044
_cell_length_c 14.3735
_cell_angle_alpha 90.00
_cell_angle_beta 114.67
_cell_angle_gamma 90.00
_symmetry_space_group_name_H-M 'C 1 2/c 1'
_symmetry_Int_Tables_number 15
_symmetry_space_group_name_Hall '-C 2yc'
loop_
_atom_site_label
_atom_site_type_symbol
_atom_site_fract_x
_atom_site_fract_y
_atom_site_fract_z
Mn1 Mn 0.2225 0.0283 0.1058
P1 P 0.0235 0.3320 0.8618
P2 P 0.2127 0.4706 0.6571
O1 O 0.0000 0.2371 0.7500
O2 O 0.0321 0.1518 0.9328
O3 O 0.0875 0.4876 0.6599
O4 O 0.1205 0.4977 0.8894
O5 O 0.1977 0.0338 0.2316
O6 O 0.2146 0.2758 0.5932
O7 O 0.2293 0.3327 0.1003
```

=====

Computed powder diffractogram of MnP4O12 for Cu Kα (λ = 1.5418 Å), from DFT lattice parameters and positions (GGA+U).
Peak positions follow from Bragg's law for the DFT cell and can differ from measured ones.

Peak list (10 most intense, 15° ≤ 2θ ≤ 90°, in order of falling intensity)
- (0 2 2), 29.5 deg, I = 100.0
- (1 1 1), 18.6 deg, I = 59.5
- (2 0 -2), 19.1 deg, I = 57.0
- (3 1 -1), 24.0 deg, I = 37.0
- (0 0 2), 19.7 deg, I = 29.6
- (3 1 0), 26.2 deg, I = 27.8
- (1 1 2), 26.7 deg, I = 25.2
- (2 2 0), 27.0 deg, I = 24.3
- (4 0 0), 31.9 deg, I = 20.9
- (3 1 -3), 30.8 deg, I = 20.8

```
data_MnP4O12
_cell_length_a 12.4904
_cell_length_b 8.1732
_cell_length_c 10.0416
_cell_angle_alpha 90.00
_cell_angle_beta 116.08
_cell_angle_gamma 90.00
_symmetry_space_group_name_H-M 'C 1 2/c 1'
_symmetry_Int_Tables_number 15
_symmetry_space_group_name_Hall '-C 2yc'
loop_
_atom_site_label
_atom_site_type_symbol
_atom_site_fract_x
_atom_site_fract_y
_atom_site_fract_z
Mn1 Mn 0.2500 0.2500 0.0000
P1 P 0.0083 0.2430 0.0264
P2 P 0.1772 0.0151 0.6859
O1 O 0.0060 0.3950 0.4005
O2 O 0.0641 0.1013 0.1531
O3 O 0.0791 0.2432 0.9348
O4 O 0.1212 0.1688 0.5772
O5 O 0.2302 0.0714 0.8433
O6 O 0.2360 0.4264 0.8564
```

=====

Computed powder diffractogram of MnP3O9 for Cu Kα (λ = 1.5418 Å), from DFT lattice parameters and positions (GGA+U).
Peak positions follow from Bragg's law for the DFT cell and can differ from measured ones.

Peak list (10 most intense, 15° ≤ 2θ ≤ 90°, in order of falling intensity)
- (1 1 1), 18.3 deg, I = 100.0
- (1 2 1), 23.2 deg, I = 67.3
- (0 1 2), 19.7 deg, I = 54.3
- (1 1 2), 24.1 deg, I = 51.2
- (1 3 0), 28.2 deg, I = 29.8
- (1 3 1), 29.6 deg, I = 26.8
- (1 1 3), 31.5 deg, I = 26.7
- (2 1 1), 30.2 deg, I = 24.0
- (2 2 0), 32.2 deg, I = 23.5
- (1 4 2), 40.3 deg, I = 20.5

```
data_MnP3O9
_cell_length_a 6.4654
_cell_length_b 10.8940
_cell_length_c 9.9017
_cell_angle_alpha 90.00
_cell_angle_beta 90.00
_cell_angle_gamma 90.00
_symmetry_space_group_name_H-M 'P c c n'
_symmetry_Int_Tables_number 56
_symmetry_space_group_name_Hall '-P 2ab 2ac'
loop_
_atom_site_label
_atom_site_type_symbol
_atom_site_fract_x
_atom_site_fract_y
_atom_site_fract_z
Mn1 Mn 0.0000 0.0000 0.0000
P1 P 0.1327 0.1356 0.2857
P2 P 0.2500 0.7500 0.0849
O1 O 0.0943 0.6917 0.1906
O2 O 0.1099 0.0363 0.1800
O3 O 0.1508 0.6537 0.4976
O4 O 0.2323 0.0989 0.4148
O5 O 0.2500 0.2500 0.2149
```

=====

Computed powder diffractogram of Mn2P2O7 for Cu Kα (λ = 1.5418 Å), from DFT lattice parameters and positions (GGA+U).
Peak positions follow from Bragg's law for the DFT cell and can differ from measured ones.

Peak list (10 most intense, 15° ≤ 2θ ≤ 90°, in order of falling intensity)
- (0 2 1), 28.6 deg, I = 100.0
- (2 0 -1), 30.0 deg, I = 66.6
- (1 1 1), 28.4 deg, I = 48.7
- (2 2 0), 34.3 deg, I = 24.6
- (1 3 0), 33.8 deg, I = 22.9
- (1 3 1), 41.0 deg, I = 21.8
- (1 3 2), 55.9 deg, I = 21.2
- (2 2 -2), 48.5 deg, I = 16.2
- (3 1 -1), 43.2 deg, I = 15.3
- (1 1 0), 16.9 deg, I = 10.4

```
data_Mn2P2O7
_cell_length_a 6.7158
_cell_length_b 8.7012
_cell_length_c 4.6070
_cell_angle_alpha 90.00
_cell_angle_beta 102.73
_cell_angle_gamma 90.00
_symmetry_space_group_name_H-M 'C 1 2 1'
_symmetry_Int_Tables_number 5
_symmetry_space_group_name_Hall 'C 2y'
loop_
_atom_site_label
_atom_site_type_symbol
_atom_site_fract_x
_atom_site_fract_y
_atom_site_fract_z
Mn1 Mn 0.0000 0.0000 0.0000
Mn2 Mn 0.0000 0.3791 0.0000
P1 P 0.2152 0.6910 0.4074
O1 O 0.0000 0.6967 0.5000
O2 O 0.1280 0.1893 0.2945
O3 O 0.2216 0.5439 0.2254
O4 O 0.2266 0.8376 0.2250
```

=====

Computed powder diffractogram of MnPO3 for Cu Kα (λ = 1.5418 Å), from DFT lattice parameters and positions (GGA+U).
Peak positions follow from Bragg's law for the DFT cell and can differ from measured ones.

Peak list (10 most intense, 15° ≤ 2θ ≤ 90°, in order of falling intensity)
- (1 2 -2), 27.4 deg, I = 100.0
- (1 1 0), 17.0 deg, I = 67.2
- (1 0 2), 30.3 deg, I = 45.9
- (2 2 -1), 31.1 deg, I = 43.3
- (2 1 -1), 24.7 deg, I = 34.3
- (1 4 0), 45.7 deg, I = 33.1
- (2 0 -4), 34.2 deg, I = 32.9
- (1 2 -1), 24.2 deg, I = 29.2
- (1 1 -1), 15.4 deg, I = 28.8
- (2 3 -3), 42.5 deg, I = 28.6

```
data_MnPO3
_cell_length_a 8.1853
_cell_length_b 8.3097
_cell_length_c 10.5288
_cell_angle_alpha 90.00
_cell_angle_beta 124.88
_cell_angle_gamma 90.00
_symmetry_space_group_name_H-M 'P 1 21/c 1'
_symmetry_Int_Tables_number 14
_symmetry_space_group_name_Hall '-P 2ybc'
loop_
_atom_site_label
_atom_site_type_symbol
_atom_site_fract_x
_atom_site_fract_y
_atom_site_fract_z
Mn1 Mn 0.0261 0.2100 0.0129
Mn2 Mn 0.3185 0.1319 0.8746
P1 P 0.0970 0.0077 0.3167
P2 P 0.4495 0.6469 0.2347
O1 O 0.0161 0.5156 0.3648
O2 O 0.0428 0.0835 0.6513
O3 O 0.1474 0.1782 0.3935
O4 O 0.2834 0.7290 0.6434
O5 O 0.3478 0.2120 0.2261
O6 O 0.4720 0.5897 0.3854
```

=====

Computed powder diffractogram of Mn2P3O11 for Cu Kα (λ = 1.5418 Å), from DFT lattice parameters and positions (GGA+U).
Peak positions follow from Bragg's law for the DFT cell and can differ from measured ones.

Peak list (10 most intense, 15° ≤ 2θ ≤ 90°, in order of falling intensity)
- (1 1 1), 19.3 deg, I = 100.0
- (0 2 2), 30.5 deg, I = 90.0
- (3 1 -2), 27.5 deg, I = 43.0
- (2 0 0), 16.5 deg, I = 39.1
- (0 2 1), 23.7 deg, I = 36.5
- (3 1 -3), 33.9 deg, I = 30.0
- (4 2 -1), 37.2 deg, I = 22.9
- (2 2 -2), 30.0 deg, I = 22.7
- (4 0 0), 33.3 deg, I = 21.3
- (3 1 -1), 24.9 deg, I = 21.1

```
data_Mn2P3O11
_cell_length_a 11.8274
_cell_length_b 8.4745
_cell_length_c 8.9088
_cell_angle_alpha 90.00
_cell_angle_beta 114.64
_cell_angle_gamma 90.00
_symmetry_space_group_name_H-M 'C 1 2/c 1'
_symmetry_Int_Tables_number 15
_symmetry_space_group_name_Hall '-C 2yc'
loop_
_atom_site_label
_atom_site_type_symbol
_atom_site_fract_x
_atom_site_fract_y
_atom_site_fract_z
Mn1 Mn 0.1226 0.2402 0.0431
P1 P 0.0000 0.0361 0.2500
P2 P 0.1092 0.4395 0.7137
O1 O 0.0000 0.4756 0.2500
O2 O 0.0428 0.3316 0.5631
O3 O 0.0750 0.0594 0.9071
O4 O 0.0993 0.1387 0.2252
O5 O 0.1820 0.4282 0.1804
O6 O 0.1873 0.3443 0.8706
```